Entry 1:
Structure and simulated PXRD pattern of KErP4H4O18 (DFT lattice parameters and positions (GGA-PBE); Cu Kα (weighted mean of Kα1 and Kα2)).

Principal peaks in the range 2θ = 10–90°, by angle:
12.43°, I = 100.0, hkl 1 1 0; 14.95°, I = 26.7, hkl 0 2 0; 22.69°, I = 33.5, hkl 2 0 -2; 23.18°, I = 32.0, hkl 0 2 3; 25.93°, I = 20.6, hkl 2 2 1; 28.08°, I = 25.0, hkl 2 2 2

Crystal structure
```
data_KErP4H4O18
_chemical_formula_sum 'K4 Er4 P16 H16 O72'
_cell_length_a 8.917
_cell_length_b 11.855
_cell_length_c 15.118
_cell_angle_alpha 90.00
_cell_angle_beta 92.75
_cell_angle_gamma 90.00
_symmetry_space_group_name_H-M 'C 1 2/c 1'
_symmetry_Int_Tables_number 15
_symmetry_space_group_name_Hall '-C 2yc'
loop_
_atom_site_label
_atom_site_type_symbol
_atom_site_fract_x
_atom_site_fract_y
_atom_site_fract_z
K1 K 0.000 0.018 0.250
Er1 Er 0.000 0.421 0.750
P1 P 0.105 0.377 0.413
P2 P 0.202 0.482 0.073
H1 H 0.109 0.169 0.087
H2 H 0.133 0.158 0.892
O1 O 0.059 0.407 0.050
O2 O 0.081 0.246 0.830
O3 O 0.085 0.339 0.882
O4 O 0.100 0.184 0.151
O5 O 0.128 0.253 0.416
O6 O 0.129 0.444 0.331
O7 O 0.158 0.092 0.938
O8 O 0.194 0.464 0.662
O9 O 0.211 0.432 0.494
```



Entry 2:
Structure and simulated PXRD pattern of KErP4H4O18 (DFT lattice parameters and positions (GGA-PBE); Cu Kα (weighted mean of Kα1 and Kα2)).

Principal peaks in the range 2θ = 10–90°, by angle:
12.18°, I = 100.0, hkl 0 1 0; 14.86°, I = 23.1, hkl 1 -1 0; 22.14°, I = 31.5, hkl 1 1 -2; 23.03°, I = 15.4, hkl -1 1 3; 23.29°, I = 20.4, hkl 1 -1 3; 25.40°, I = 12.0, hkl 0 2 1

Crystal structure
```
data_KErP4H4O18
_chemical_formula_sum 'K2 Er2 P8 H8 O36'
_cell_length_a 7.520
_cell_length_b 7.527
_cell_length_c 15.086
_cell_angle_alpha 91.44
_cell_angle_beta 92.46
_cell_angle_gamma 104.84
_symmetry_space_group_name_H-M 'P -1'
_symmetry_Int_Tables_number 2
_symmetry_space_group_name_Hall '-P 1'
loop_
_atom_site_label
_atom_site_type_symbol
_atom_site_fract_x
_atom_site_fract_y
_atom_site_fract_z
K1 K 0.031 0.469 0.249
Er1 Er 0.418 0.078 0.749
P1 P 0.281 0.025 0.086
P2 P 0.286 0.819 0.427
P3 P 0.318 0.785 0.928
P4 P 0.475 0.220 0.413
H1 H 0.016 0.206 0.615
H2 H 0.066 0.226 0.419
H3 H 0.272 0.433 0.081
H4 H 0.293 0.479 0.885
O1 O 0.075 0.752 0.433
O2 O 0.088 0.216 0.355
O3 O 0.132 0.123 0.084
O4 O 0.150 0.166 0.674
O5 O 0.228 0.862 0.008
O6 O 0.242 0.079 0.620
O7 O 0.251 0.576 0.934
O8 O 0.274 0.859 0.840
O9 O 0.284 0.412 0.145
O10 O 0.323 0.356 0.829
O11 O 0.331 0.940 0.170
O12 O 0.345 0.033 0.451
O13 O 0.357 0.775 0.340
O14 O 0.360 0.728 0.509
O15 O 0.377 0.369 0.415
O16 O 0.427 0.267 0.875
O17 O 0.441 0.829 0.670
O18 O 0.467 0.156 0.048
```



Entry 3:
Structure and simulated PXRD pattern of ErHO2 (DFT lattice parameters and positions (GGA-PBE); Cu Kα (weighted mean of Kα1 and Kα2)).

Principal peaks in the range 2θ = 10–90°, by angle:
15.82°, I = 35.7, hkl 0 0 1; 22.31°, I = 44.9, hkl 1 0 -1; 29.40°, I = 100.0, hkl 0 1 1; 31.29°, I = 50.2, hkl 1 0 1; 33.19°, I = 37.0, hkl 1 1 0; 33.46°, I = 54.5, hkl 1 1 -1

Crystal structure
```
data_ErHO2
_chemical_formula_sum 'Er2 H2 O4'
_cell_length_a 4.308
_cell_length_b 3.616
_cell_length_c 5.952
_cell_angle_alpha 90.00
_cell_angle_beta 109.71
_cell_angle_gamma 90.00
_symmetry_space_group_name_H-M 'P 1 21/m 1'
_symmetry_Int_Tables_number 11
_symmetry_space_group_name_Hall '-P 2yb'
loop_
_atom_site_label
_atom_site_type_symbol
_atom_site_fract_x
_atom_site_fract_y
_atom_site_fract_z
Er1 Er 0.164 0.250 0.311
H1 H 0.484 0.750 0.096
O1 O 0.247 0.750 0.067
O2 O 0.267 0.750 0.553
```



Entry 4:
Structure and simulated PXRD pattern of ErP2H3O10 (DFT lattice parameters and positions (GGA-PBE); Cu Kα (weighted mean of Kα1 and Kα2)).

Principal peaks in the range 2θ = 10–90°, by angle:
17.56°, I = 69.1, hkl 1 0 -1; 18.44°, I = 71.9, hkl 0 0 2; 18.73°, I = 59.7, hkl 1 -1 0; 24.48°, I = 66.8, hkl 1 0 -2; 25.72°, I = 100.0, hkl 0 2 0; 26.31°, I = 83.4, hkl 0 2 1

Crystal structure
```
data_ErP2H3O10
_chemical_formula_sum 'Er2 P4 H6 O20'
_cell_length_a 6.455
_cell_length_b 6.975
_cell_length_c 9.762
_cell_angle_alpha 83.41
_cell_angle_beta 82.92
_cell_angle_gamma 89.98
_symmetry_space_group_name_H-M 'P 1'
_symmetry_Int_Tables_number 1
_symmetry_space_group_name_Hall 'P 1'
loop_
_atom_site_label
_atom_site_type_symbol
_atom_site_fract_x
_atom_site_fract_y
_atom_site_fract_z
Er1 Er 0.000 0.000 0.000
Er2 Er 0.270 0.495 0.064
P1 P 0.449 0.985 0.092
P2 P 0.572 0.607 0.737
P3 P 0.696 0.893 0.326
P4 P 0.819 0.509 0.971
H1 H 0.018 0.049 0.684
H2 H 0.240 0.495 0.381
H3 H 0.474 0.543 0.317
H4 H 0.628 0.931 0.550
H5 H 0.642 0.570 0.513
H6 H 0.798 0.953 0.748
O1 O 0.110 0.794 0.476
O2 O 0.145 0.963 0.493
O3 O 0.304 0.821 0.066
O4 O 0.307 0.166 0.078
O5 O 0.312 0.114 0.846
O6 O 0.339 0.489 0.298
O7 O 0.381 0.538 0.836
O8 O 0.487 0.955 0.252
O9 O 0.592 0.493 0.608
O10 O 0.596 0.824 0.698
O11 O 0.614 0.490 0.063
O12 O 0.655 0.001 0.001
O13 O 0.669 0.008 0.455
O14 O 0.681 0.676 0.366
O15 O 0.781 0.539 0.811
O16 O 0.886 0.967 0.227
O17 O 0.929 0.013 0.771
O18 O 0.960 0.379 0.216
O19 O 0.963 0.329 0.985
O20 O 0.963 0.673 0.999
```